The following is a theoretical powder diffractogram of TlZn2. It was derived from the GGA-PBE geometry in Alexandria, using Cu Kα (λ = 1.5418 Å).

Main lines, most intense first (15 to 90 degrees two-theta):
2θ = 35.4°, intensity 100
2θ = 32.9°, intensity 64
2θ = 33.4°, intensity 57
2θ = 33.9°, intensity 50
2θ = 28.6°, intensity 48
2θ = 27.1°, intensity 48
2θ = 28.2°, intensity 47
2θ = 46.6°, intensity 45

Crystal structure
Cell: 3.587 3.902 18.723 Å, 90.77 92.27 90.40°
Positions (direct):
Tl (0.222, 0.258, 0.066)
Tl (0.268, 0.241, 0.434)
Tl (0.732, 0.759, 0.566)
Tl (0.778, 0.742, 0.934)
Zn (0.236, 0.264, 0.645)
Zn (0.242, 0.748, 0.251)
Zn (0.258, 0.752, 0.749)
Zn (0.277, 0.238, 0.854)
Zn (0.723, 0.762, 0.146)
Zn (0.742, 0.248, 0.251)
Zn (0.758, 0.252, 0.749)
Zn (0.764, 0.736, 0.355)